Entry 1:
PrDy2ErSc4: simulated PXRD pattern (copper Kα), based on a GGA-PBE-relaxed structure.
Lines closer than 0.1° are merged.

Principal peaks in the range 10° ≤ 2θ ≤ 80°, by angle:
two_theta, Rel. int.
21.07, 54
28.16, 45
30.77, 22
31.64, 100
42.86, 86
44.75, 16
56.39, 13
64.21, 17
67.80, 21
73.26, 11

Atomic structure:
```
PrDy2ErSc4
1.0
-3.270 5.648 6.337
3.270 -5.648 6.337
3.270 5.648 -6.337
Pr Dy Er Sc
2 4 2 8
Direct
0.500 0.000 0.000
0.500 0.500 0.500
0.000 0.000 0.000
0.000 0.000 0.500
0.000 0.500 0.000
0.500 0.000 0.500
0.000 0.500 0.500
0.500 0.500 0.000
0.247 0.749 0.497
0.248 0.248 0.500
0.248 0.251 0.997
0.248 0.748 0.000
0.752 0.252 0.000
0.752 0.749 0.003
0.752 0.752 0.500
0.753 0.251 0.503
```

---

Entry 2:
Re2P5: simulated PXRD pattern (copper Kα), based on a GGA-PBE-relaxed structure.
Lines closer than 0.1° are merged.

Principal peaks in the range 10° ≤ 2θ ≤ 80°, by angle:
two_theta, Rel. int.
12.17, 53
16.00, 95
16.55, 52
20.00, 65
24.15, 72
25.42, 44
27.72, 41
31.99, 100
33.09, 100
54.19, 43

Atomic structure:
```
Re2P5
1.0
7.379 0.000 0.000
0.426 8.270 0.000
3.173 2.741 7.271
Re P
8 20
Direct
0.057 0.088 0.098
0.178 0.520 0.250
0.304 0.142 0.710
0.426 0.578 0.857
0.574 0.422 0.143
0.696 0.858 0.290
0.822 0.480 0.750
0.943 0.912 0.902
0.023 0.781 0.168
0.107 0.415 0.048
0.137 0.040 0.368
0.161 0.583 0.521
0.270 0.843 0.740
0.281 0.253 0.404
0.320 0.835 0.465
0.376 0.451 0.637
0.398 0.085 0.953
0.466 0.693 0.055
0.534 0.307 0.945
0.602 0.915 0.047
0.624 0.549 0.363
0.680 0.165 0.535
0.719 0.747 0.596
0.730 0.157 0.260
0.839 0.417 0.479
0.863 0.960 0.632
0.893 0.585 0.952
0.977 0.219 0.832
```

---

Entry 3:
KTl2CuBr4: simulated PXRD pattern (copper Kα), based on a GGA-PBE-relaxed structure.
Lines closer than 0.1° are merged.

Principal peaks in the range 10° ≤ 2θ ≤ 80°, by angle:
two_theta, Rel. int.
11.53, 28
23.15, 45
26.02, 100
28.39, 25
29.66, 20
37.13, 38
38.90, 45
44.22, 18
47.39, 24
60.45, 17

Atomic structure:
```
KTl2CuBr4
1.0
-4.841 4.845 6.287
4.841 -4.845 6.287
4.841 4.845 -6.287
K Tl Cu Br
2 4 2 8
Direct
0.000 0.000 0.000
0.500 0.000 0.500
0.000 0.500 0.500
0.500 0.000 0.000
0.500 0.500 0.000
0.500 0.500 0.500
0.000 0.000 0.500
0.000 0.500 0.000
0.184 0.183 0.499
0.184 0.686 0.001
0.274 0.248 0.026
0.278 0.752 0.526
0.722 0.248 0.474
0.726 0.752 0.974
0.816 0.314 0.999
0.816 0.817 0.501
```

---

Entry 4:
MgIn12Bi3: simulated PXRD pattern (copper Kα), based on a GGA-PBE-relaxed structure.
Lines closer than 0.1° are merged.

Principal peaks in the range 10° ≤ 2θ ≤ 80°, by angle:
two_theta, Rel. int.
29.39, 4
32.15, 100
36.31, 37
39.20, 14
52.29, 13
54.49, 21
62.72, 29
66.63, 10
67.26, 11
77.10, 4

Atomic structure:
```
MgIn12Bi3
1.0
4.948 0.000 0.000
0.000 4.948 0.000
0.000 0.000 18.388
Mg In Bi
1 12 3
Direct
0.000 0.000 0.000
0.000 0.500 0.116
0.000 0.500 0.371
0.000 0.500 0.629
0.000 0.500 0.884
0.500 0.000 0.116
0.500 0.000 0.371
0.500 0.000 0.629
0.500 0.000 0.884
0.500 0.500 0.000
0.500 0.500 0.244
0.500 0.500 0.500
0.500 0.500 0.756
0.000 0.000 0.241
0.000 0.000 0.500
0.000 0.000 0.759
```